Record 1
# Ac2O2F5
Theoretical X-ray powder pattern, CuKα. Input: a DFT-relaxed cell (GGA-PBE, Alexandria).
Kinematic intensities with the Lorentz-polarization factor, no thermal factor.

Structure:
abc: 4.724 4.724 7.834
angles: 84.81 74.70 81.17
Space group P-1 (No. 2)
Unique sites:
Ac (0.124, 0.265, 0.265) (multiplicity 2)
O (0.418, 0.890, 0.018) (multiplicity 2)
F (0.000, 0.500, 0.000) (multiplicity 1)
F (0.042, 0.758, 0.388) (multiplicity 2)
F (0.409, 0.731, 0.665) (multiplicity 2)

Main lines, low angle first (2θ from 10° to 90°):
Position (°2θ)	I (rel.)	h k l
19.7	65.1	1 0 0
20.2	80.2	1 0 1
21.9	100.0	0 1 1
22.9	99.3	0 1 -1
23.6	68.1	0 0 2
25.5	47.4	1 1 1
25.5	40.8	1 1 0
38.6	59.0	0 2 0


Record 2
# Ac2OsO8F
Theoretical X-ray powder pattern, CuKα. Input: a DFT-relaxed cell (GGA-PBE, Alexandria).
Kinematic intensities with the Lorentz-polarization factor, no thermal factor.

Structure:
abc: 4.463 5.291 8.522
angles: 107.81 104.36 90.05
Space group P-1 (No. 2)
Unique sites:
Ac (0.078, 0.354, 0.267) (multiplicity 2)
Os (0.500, 0.000, 0.500) (multiplicity 1)
O (0.136, 0.872, 0.335) (multiplicity 2)
O (0.155, 0.505, 0.009) (multiplicity 2)
O (0.333, 0.338, 0.579) (multiplicity 2)
O (0.370, 0.863, 0.654) (multiplicity 2)
F (0.000, 0.000, 0.000) (multiplicity 1)

Main lines, low angle first (2θ from 10° to 90°):
Position (°2θ)	I (rel.)	h k l
11.3	77.0	0 0 1
20.8	51.8	1 0 -1
23.9	62.0	0 1 1
26.1	41.7	1 1 -1
26.5	55.0	1 0 -2
28.4	100.0	1 -1 1
33.3	35.4	0 1 -3
44.5	32.3	2 1 -2


Record 3
# AcPbO2F
Theoretical X-ray powder pattern, CuKα. Input: a DFT-relaxed cell (GGA-PBE, Alexandria).
Kinematic intensities with the Lorentz-polarization factor, no thermal factor.

Structure:
abc: 7.046 4.121 8.176
angles: 90.00 111.32 90.00
Space group P2_1/m (No. 11)
Unique sites:
Ac (0.246, 0.250, 0.444) (multiplicity 2)
Pb (0.237, 0.750, 0.047) (multiplicity 2)
O (0.115, 0.250, 0.119) (multiplicity 2)
O (0.388, 0.750, 0.362) (multiplicity 2)
F (0.141, 0.750, 0.596) (multiplicity 2)

Main lines, low angle first (2θ from 10° to 90°):
Position (°2θ)	I (rel.)	h k l
14.3	33.2	1 0 -1
23.4	48.4	0 0 2
25.9	100.0	1 1 -1
27.2	50.3	2 0 0
30.2	53.4	1 1 1
36.2	22.8	2 1 -2
44.5	29.1	3 1 -1
52.4	33.3	2 2 0


> Which formula does entry 3 have?

AcPbO2F